1.
The following is a simulated powder XRD pattern of Li2CrP2O7. It was derived from DFT lattice parameters and positions (PBE+U), using λ = 1.5418 Å (Cu Kα).

Cell and atoms:
a b c (Å): 7.9385 12.8390 5.6088
angles (deg): 90.00 90.55 90.00
Space group C2/m (No. 12)
Asymmetric unit:
Li 0.0000 0.2130 0.0000
Li 0.0000 0.2136 0.5000
Cr 0.2003 0.0000 0.7427
P 0.1977 0.3889 0.7550
O 0.0637 0.3056 0.7507
O 0.0959 0.5000 0.7520
O 0.1901 0.1105 0.4692
O 0.1932 0.1106 0.0157

Largest 6 diffraction maxima, sorted by position, 2θ from 5° to 70°:
2θ (°)  d_spacing  intensity
13.79  6.419  97.0
22.40  3.969  100.0
26.40  3.376  82.1
27.40  3.255  58.5
28.48  3.134  74.0
28.61  3.121  72.0

---

2.
The following is a simulated powder XRD pattern of Li3V2CoO6. It was derived from DFT lattice parameters and positions (PBE+U), using λ = 1.5418 Å (Cu Kα).

Cell and atoms:
a b c (Å): 12.8330 3.0040 5.9917
angles (deg): 90.00 104.66 90.00
Space group C2/m (No. 12)
Asymmetric unit:
Li 0.0000 0.0000 0.0000
Li 0.1638 0.5000 0.3349
V 0.1630 0.5000 0.8260
Co 0.0000 0.0000 0.5000
O 0.0091 0.5000 0.7543
O 0.1685 0.0000 0.6012
O 0.1732 0.0000 0.0661

Largest 6 diffraction maxima, sorted by position, 2θ from 5° to 70°:
2θ (°)  d_spacing  intensity
18.10  4.900  100.0
35.23  2.547  28.6
42.63  2.121  58.0
43.75  2.069  26.2
62.23  1.492  15.2
63.23  1.471  14.4

---

3.
The following is a simulated powder XRD pattern of Fe2Pb3F12. It was derived from DFT lattice parameters and positions (PBE+U), using λ = 1.5418 Å (Cu Kα).

Cell and atoms:
a b c (Å): 7.5380 7.8127 10.0400
angles (deg): 110.17 107.96 96.47
Space group P-1 (No. 2)
Asymmetric unit:
Fe 0.0110 0.2054 0.2903
Fe 0.3270 0.2646 0.0655
Pb 0.1894 0.3313 0.7026
Pb 0.2351 0.7809 0.1185
Pb 0.4053 0.7687 0.5308
F 0.1077 0.2418 0.1366
F 0.1076 0.8489 0.5758
F 0.1407 0.6815 0.2962
F 0.1586 0.0371 0.8765
F 0.1689 0.6490 0.7680
F 0.1784 0.4160 0.9692
F 0.1921 0.4183 0.4694
F 0.2022 0.0648 0.3326
F 0.4326 0.1023 0.1586
F 0.4766 0.4852 0.2478
F 0.4840 0.1117 0.6406
F 0.4874 0.2896 0.9540

Largest 6 diffraction maxima, sorted by position, 2θ from 5° to 70°:
2θ (°)  d_spacing  intensity
25.05  3.555  57.8
25.85  3.446  58.9
27.13  3.287  36.3
27.89  3.198  100.0
28.95  3.085  38.9
44.98  2.015  26.8

---

4.
The following is a simulated powder XRD pattern of SrCaV2O6. It was derived from DFT lattice parameters and positions (PBE+U), using λ = 1.5418 Å (Cu Kα).

Cell and atoms:
a b c (Å): 7.8925 5.4679 5.4159
angles (deg): 90.00 90.00 90.00
Space group Pmc2_1 (No. 26)
Asymmetric unit:
Sr 0.0000 0.2470 0.0000
Ca 0.5000 0.2478 0.0374
V 0.2546 0.2489 0.5156
O 0.0000 0.2950 0.5179
O 0.2305 0.0359 0.2458
O 0.2841 0.4632 0.7846
O 0.5000 0.1862 0.5058

Largest 6 diffraction maxima, sorted by position, 2θ from 5° to 70°:
2θ (°)  d_spacing  intensity
32.50  2.755  100.0
32.76  2.734  24.4
33.08  2.708  23.7
46.00  1.973  22.2
47.24  1.924  39.7
68.06  1.377  21.3